Record 1
This entry pairs a crystal structure of CoH4C4N2Cl4 with its computed PXRD pattern. Radiation: CuKα. Structure: a DFT-relaxed cell (PBE, the Materials Project).

Main lines, low angle first (10 to 90 degrees two-theta):
11.86 deg, I 100; 14.80 deg, I 53; 15.53 deg, I 81; 20.54 deg, I 36; 27.10 deg, I 44; 28.62 deg, I 36

```
60
Lattice="7.687 0.000 0.000 0.000 11.373 0.000 -6.551 0.000 14.919" Properties=species:S:1:pos:R:3 pbc="T T T"
Co -1.211 1.932 6.973
Co -4.487 3.755 14.433
Co 5.622 7.618 0.486
Co 2.346 9.441 7.946
H -2.638 8.303 7.808
H 0.638 8.756 0.349
H -0.252 0.963 7.539
H 3.024 4.724 0.079
H -2.783 8.388 13.416
H 0.493 8.671 5.957
H 1.206 1.872 5.202
H -2.070 3.815 12.662
H 3.205 7.558 2.257
H -0.071 9.501 9.717
H 0.642 2.702 8.963
H 3.918 2.985 1.503
H -1.889 6.649 14.840
H 1.387 10.410 7.380
H 0.498 2.617 14.571
H 3.773 3.069 7.111
C -2.166 8.114 5.204
C -5.441 8.945 12.663
C -1.248 6.192 6.526
C -4.524 10.867 13.986
C 0.986 5.950 3.037
C -2.289 11.109 10.497
C -2.186 5.693 11.009
C 1.090 11.366 3.549
C 0.045 0.007 11.370
C 3.321 5.680 3.911
C 3.424 0.264 4.423
C 0.149 5.423 11.882
C 5.659 0.506 0.933
C 2.383 5.181 8.393
C 6.576 2.428 2.256
C 3.301 3.259 9.716
N -1.696 7.153 5.871
N -4.972 9.906 13.330
N 2.149 5.802 3.471
N -1.127 11.257 10.931
N 2.262 0.116 3.988
N -1.014 5.571 11.448
N 6.107 1.467 1.589
N 2.831 4.220 9.049
Cl -3.436 8.155 8.824
Cl -0.160 8.904 1.364
Cl -4.556 5.918 14.057
Cl -1.281 11.142 6.597
Cl -2.658 2.741 13.099
Cl 0.618 2.945 5.640
Cl 2.678 2.595 1.496
Cl -0.598 3.091 8.956
Cl 1.733 8.282 5.964
Cl -1.543 8.778 13.424
Cl 0.517 8.428 9.280
Cl 3.793 8.632 1.820
Cl 2.416 0.231 8.322
Cl 5.691 5.455 0.863
Cl 1.295 2.469 13.555
Cl 4.571 3.218 6.096
```

=====

Record 2
This entry pairs a crystal structure of CoC8N2Cl4 with its computed PXRD pattern. Radiation: CuKα. Structure: a DFT-relaxed cell (PBE, the Materials Project).

Main lines, low angle first (10 to 90 degrees two-theta):
11.63 deg, I 32; 13.91 deg, I 100; 21.03 deg, I 42; 23.38 deg, I 33; 23.49 deg, I 33; 24.14 deg, I 47

```
60
Lattice="11.638 0.000 0.000 0.000 8.447 0.000 0.000 0.000 17.507" Properties=species:S:1:pos:R:3 pbc="T T T"
Co 2.575 2.112 0.793
Co 3.244 6.336 9.546
Co 8.394 2.112 7.961
Co 9.063 6.336 16.715
C 0.094 0.823 14.215
C 0.094 3.401 14.215
C 0.252 6.336 3.948
C 1.729 2.112 9.328
C 1.852 2.112 6.812
C 1.908 1.422 5.607
C 1.908 2.802 5.607
C 2.274 6.336 10.967
C 3.545 2.112 2.214
C 3.911 5.646 14.361
C 3.911 7.025 14.361
C 3.967 6.336 15.565
C 4.090 6.336 0.574
C 5.567 2.112 12.702
C 5.725 5.047 5.462
C 5.725 7.624 5.462
C 5.913 0.823 12.046
C 5.913 3.401 12.046
C 6.071 6.336 4.805
C 7.548 2.112 16.933
C 7.671 2.112 1.942
C 7.727 1.422 3.146
C 7.727 2.802 3.146
C 8.093 6.336 15.294
C 9.364 2.112 6.540
C 9.730 5.646 11.900
C 9.730 7.025 11.900
C 9.787 6.336 10.696
C 9.909 6.336 8.180
C 11.386 2.112 13.559
C 11.544 5.047 3.292
C 11.544 7.624 3.292
N 0.378 2.112 14.816
N 1.782 2.112 8.133
N 4.037 6.336 16.887
N 5.441 6.336 6.062
N 6.197 2.112 11.445
N 7.601 2.112 0.620
N 9.856 6.336 9.374
N 11.260 6.336 2.691
Cl 0.583 2.112 1.478
Cl 1.782 4.894 11.694
Cl 1.782 7.777 11.694
Cl 1.914 6.336 7.892
Cl 3.905 2.112 16.646
Cl 4.037 0.670 2.940
Cl 4.037 3.554 2.940
Cl 5.236 6.336 10.231
Cl 6.402 2.112 7.276
Cl 7.601 4.894 14.567
Cl 7.601 7.777 14.567
Cl 7.733 6.336 0.862
Cl 9.724 2.112 9.616
Cl 9.856 0.670 5.814
Cl 9.856 3.554 5.814
Cl 11.055 6.336 16.030
```

=====

Record 3
This entry pairs a crystal structure of Cr3C8N6Cl12 with its computed PXRD pattern. Radiation: CuKα. Structure: a DFT-relaxed cell (PBE, the Materials Project).

Main lines, low angle first (10 to 90 degrees two-theta):
11.65 deg, I 100; 13.41 deg, I 47; 17.23 deg, I 28; 27.03 deg, I 23; 31.21 deg, I 37; 34.76 deg, I 17

```
58
Lattice="11.687 0.000 0.000 0.000 19.980 0.000 0.000 0.000 6.997" Properties=species:S:1:pos:R:3 pbc="T T T"
Cr 0.000 0.000 0.000
Cr 1.841 2.317 0.000
Cr 4.002 12.307 3.499
Cr 5.844 9.990 3.499
Cr 7.685 7.673 3.499
Cr 9.846 17.663 0.000
C 0.926 4.001 3.499
C 1.092 13.747 0.000
C 1.146 17.423 3.499
C 1.302 11.247 0.000
C 4.541 1.257 3.499
C 4.697 7.433 0.000
C 4.752 3.756 3.499
C 4.917 13.991 0.000
C 6.770 5.989 0.000
C 6.935 16.224 3.499
C 6.990 12.547 0.000
C 7.146 18.723 3.499
C 10.385 8.733 0.000
C 10.541 2.557 3.499
C 10.596 6.234 0.000
C 10.761 15.979 3.499
N 0.159 16.734 3.499
N 1.189 12.501 0.000
N 1.778 8.475 3.499
N 4.066 18.465 0.000
N 4.655 2.511 3.499
N 5.684 6.743 0.000
N 6.003 13.237 0.000
N 7.032 17.469 3.499
N 7.621 1.515 0.000
N 9.909 11.505 3.499
N 10.498 7.479 0.000
N 11.528 3.247 3.499
Cl 0.540 17.677 0.000
Cl 1.643 0.634 1.614
Cl 1.643 0.634 5.383
Cl 1.684 4.455 2.039
Cl 1.684 4.455 4.959
Cl 1.823 12.763 3.499
Cl 4.020 2.773 0.000
Cl 4.160 14.445 1.460
Cl 4.160 14.445 5.537
Cl 4.201 10.624 1.884
Cl 4.201 10.624 5.113
Cl 5.303 7.687 3.499
Cl 6.384 12.293 3.499
Cl 7.486 9.356 1.884
Cl 7.486 9.356 5.113
Cl 7.527 5.535 1.460
Cl 7.527 5.535 5.537
Cl 7.667 17.207 0.000
Cl 9.864 7.217 3.499
Cl 10.003 15.525 2.039
Cl 10.003 15.525 4.959
Cl 10.044 19.346 1.614
Cl 10.044 19.346 5.383
Cl 11.147 2.303 0.000
```

=====

Record 4
This entry pairs a crystal structure of Cs2Lu7CCl18 with its computed PXRD pattern. Radiation: CuKα. Structure: a DFT-relaxed cell (PBE, the Materials Project).

Main lines, low angle first (10 to 90 degrees two-theta):
10.77 deg, I 58; 12.14 deg, I 90; 20.34 deg, I 65; 31.99 deg, I 100; 38.16 deg, I 58; 48.45 deg, I 54

```
28
Lattice="4.971 2.870 9.127 -4.971 2.870 9.127 0.000 -5.739 9.127" Properties=species:S:1:pos:R:3 pbc="T T T"
Cs 0.000 0.000 6.084
Cs 0.000 0.000 21.297
Lu -0.574 -3.769 10.538
Lu -3.551 -1.387 16.843
Lu -2.977 2.381 10.538
Lu 0.000 0.000 13.690
Lu 2.977 -2.381 16.843
Lu 3.551 1.387 10.538
Lu 0.574 3.769 16.843
C 0.000 0.000 0.000
Cl -4.373 0.857 12.133
Cl -2.929 -3.359 15.248
Cl -2.229 0.396 9.058
Cl -1.284 -1.708 12.178
Cl 0.771 -2.129 9.058
Cl 1.444 -4.216 12.133
Cl -2.121 0.258 15.203
Cl -1.458 -1.732 18.323
Cl -0.837 1.966 12.178
Cl 0.837 -1.966 15.203
Cl 1.458 1.732 9.058
Cl 2.121 -0.258 12.178
Cl -1.444 4.216 15.248
Cl -0.771 2.129 18.323
Cl 1.284 1.708 15.203
Cl 2.229 -0.396 18.323
Cl 2.929 3.359 12.133
Cl 4.373 -0.857 15.248
```